Starting from DFT lattice parameters and positions (PBE), the powder diffraction line list of Ce3TeBr3 was simulated for Cu Ka.

Principal peaks in the range 2θ from 10° to 90°, sorted by position:
| 2θ (°) | I_rel |
| --- | --- |
| 10.27 | 25 |
| 23.10 | 11 |
| 29.34 | 100 |
| 31.16 | 7 |
| 37.67 | 8 |
| 41.97 | 74 |
| 52.03 | 26 |
| 60.86 | 12 |
| 68.98 | 33 |
| 76.68 | 25 |

Crystal structure
```
Ce3TeBr3
1.0
-6.089 6.089 6.089
6.089 -6.089 6.089
6.089 6.089 -6.089
Ce Te Br
12 4 12
direct
0.000 0.000 0.250
0.000 0.250 0.000
0.000 0.500 0.750
0.250 0.000 0.000
0.250 0.250 0.750
0.250 0.500 0.500
0.250 0.750 0.250
0.500 0.250 0.500
0.500 0.500 0.250
0.500 0.750 0.000
0.750 0.000 0.500
0.750 0.250 0.250
0.000 0.250 0.500
0.250 0.250 0.250
0.250 0.500 0.000
0.500 0.000 0.250
0.250 0.756 0.744
0.250 0.994 0.506
0.506 0.250 0.994
0.506 0.756 0.512
0.512 0.506 0.756
0.744 0.250 0.756
0.744 0.994 0.988
0.756 0.512 0.506
0.756 0.744 0.250
0.988 0.744 0.994
0.994 0.506 0.250
0.994 0.988 0.744
```